# 1
Starting from a DFT-relaxed cell (PBE, Alexandria), the PXRD pattern of Cs9Tl4O3 was computed for Cu Ka.

Principal peaks in the range 10° ≤ 2θ ≤ 90°, low angle first:
h k l	two_theta	I/Imax
3 2 1	24.1	12
3 3 0	27.4	100
3 3 2	30.4	9
5 1 0	33.1	23
5 2 3	40.3	22
4 4 4	45.5	9
5 5 0	46.5	11
5 5 2	48.5	16
6 5 1	52.2	11
7 4 1	54.0	8
9 2 1	62.4	10
7 7 4	73.2	8

Cell: 13.8021 13.8021 13.8021 Å, 90.00 90.00 90.00°
Space group I23 (No. 197)
Inequivalent atoms, fractional coordinates:
Cs: 0.0000 0.0000 0.3648 (multiplicity 12)
Cs: 0.0437 0.3332 0.7169 (multiplicity 24)
Tl: 0.0874 0.0874 0.9126 (multiplicity 8)
Tl: 0.1361 0.1361 0.1361 (multiplicity 8)
O: 0.0000 0.3351 0.5000 (multiplicity 12)

---

# 2
Starting from a DFT-relaxed cell (PBE, Alexandria), the PXRD pattern of Cs5Tl2O5 was computed for Cu Ka.

Principal peaks in the range 10° ≤ 2θ ≤ 90°, low angle first:
h k l	two_theta	I/Imax
2 0 0	11.6	47
1 1 -1	23.9	27
4 0 1	25.7	62
2 0 -3	26.1	58
1 1 -2	27.7	100
3 1 0	28.1	48
1 1 2	28.7	52
0 0 4	33.4	27
3 1 2	34.0	41
5 1 -1	36.9	64
0 2 0	44.7	30
7 1 2	52.3	37

Cell: 15.4154 4.0588 10.8036 Å, 90.00 97.39 90.00°
Space group C2/m (No. 12)
Inequivalent atoms, fractional coordinates:
Cs: 0.0000 0.0000 0.0000 (multiplicity 2)
Cs: 0.1304 0.0000 0.4828 (multiplicity 4)
Cs: 0.2280 0.0000 0.1722 (multiplicity 4)
Tl: 0.0270 0.5000 0.7194 (multiplicity 4)
O: 0.0000 0.5000 0.5000 (multiplicity 2)
O: 0.1023 0.0000 0.7589 (multiplicity 4)
O: 0.1030 0.5000 0.2185 (multiplicity 4)

---

# 3
Starting from a DFT-relaxed cell (PBE, Alexandria), the PXRD pattern of CsTlO2 was computed for Cu Ka.

Principal peaks in the range 10° ≤ 2θ ≤ 90°, low angle first:
h k l	two_theta	I/Imax
0 0 2	11.6	21
1 0 1	14.0	36
0 0 4	23.3	36
2 0 0	25.7	16
2 0 1	26.4	35
1 1 1	29.2	18
1 1 2	31.0	100
2 0 3	31.2	34
0 1 5	39.2	16
1 0 7	43.5	15
3 1 1	47.5	33
2 1 6	51.7	18

Cell: 6.9354 3.4916 15.2636 Å, 90.00 90.00 90.00°
Space group Pnma (No. 62)
Inequivalent atoms, fractional coordinates:
Cs: 0.0880 0.2500 0.1377 (multiplicity 4)
Tl: 0.0796 0.7500 0.4130 (multiplicity 4)
O: 0.0418 0.2500 0.3246 (multiplicity 4)
O: 0.2003 0.2500 0.5034 (multiplicity 4)